(1)
# Rb2LiNbS4
Theoretical X-ray diffraction stick pattern, Cu Kα, 1.54184 Å. Input: the GGA-PBE geometry in Alexandria.

Most intense lines, 10° ≤ 2θ ≤ 90°, in order of rising 2θ:
h k l  2θ (°)  I_rel
0 2 0  16.25  62
1 1 3  24.65  59
2 0 0  24.85  100
-1 1 3  25.88  88
0 1 -3  26.99  62
0 3 3  27.92  95
1 -2 2  29.37  42
2 3 1  32.14  56
-2 4 2  42.90  42
0 2 6  44.82  35

Structural model:
```
data_Rb2LiNbS4
_cell_length_a 7.2157
_cell_length_b 11.5828
_cell_length_c 12.1582
_cell_angle_alpha 71.20
_cell_angle_beta 86.91
_cell_angle_gamma 83.29
_symmetry_space_group_name_H-M 'P -1'
_symmetry_Int_Tables_number 2
_symmetry_space_group_name_Hall '-P 1'
loop_
_atom_site_label
_atom_site_type_symbol
_atom_site_fract_x
_atom_site_fract_y
_atom_site_fract_z
_atom_site_occupancy
Rb1 Rb 0.1860 0.0983 0.2495 1
Rb2 Rb 0.2322 0.6198 0.7290 1
Rb3 Rb 0.2451 0.1564 0.8599 1
Rb4 Rb 0.2476 0.6527 0.3544 1
Li1 Li 0.2987 0.4853 0.0779 1
Li2 Li 0.3306 0.9908 0.5867 1
Nb1 Nb 0.2820 0.2734 0.4845 1
Nb2 Nb 0.2906 0.7717 0.9845 1
S1 S 0.0468 0.6582 0.9989 1
S2 S 0.0539 0.1440 0.5305 1
S3 S 0.2398 0.8934 0.1006 1
S4 S 0.2524 0.3979 0.5979 1
S5 S 0.2661 0.3832 0.2903 1
S6 S 0.3263 0.8877 0.7940 1
S7 S 0.4402 0.8526 0.4728 1
S8 S 0.4529 0.3689 0.9500 1
```

***

(2)
# Li7NbS6
Theoretical X-ray diffraction stick pattern, Cu Kα, 1.54184 Å. Input: the GGA-PBE geometry in Alexandria.

Most intense lines, 10° ≤ 2θ ≤ 90°, in order of rising 2θ:
h k l  2θ (°)  I_rel
1 0 0  15.02  100
1 0 -2  15.35  35
1 1 -1  17.53  33
1 1 1  24.54  50
0 2 0  24.66  24
1 1 -3  24.94  45
2 0 -2  25.11  25
2 0 0  30.31  53
3 1 -1  43.62  23
2 2 2  50.31  21

Structural model:
```
data_Li7NbS6
_cell_length_a 7.0954
_cell_length_b 7.2196
_cell_length_c 12.3299
_cell_angle_alpha 90.00
_cell_angle_beta 123.86
_cell_angle_gamma 90.00
_symmetry_space_group_name_H-M 'P 1 c 1'
_symmetry_Int_Tables_number 7
_symmetry_space_group_name_Hall 'P -2yc'
loop_
_atom_site_label
_atom_site_type_symbol
_atom_site_fract_x
_atom_site_fract_y
_atom_site_fract_z
_atom_site_occupancy
Li1 Li 0.0000 0.0492 0.0000 1
Li2 Li 0.1627 0.1170 0.7750 1
Li3 Li 0.2926 0.4303 0.0344 1
Li4 Li 0.5758 0.1215 0.6351 1
Li5 Li 0.5781 0.3238 0.8170 1
Li6 Li 0.9573 0.3589 0.3639 1
Li7 Li 0.9721 0.4376 0.6524 1
Nb1 Nb 0.4515 0.2277 0.3351 1
S1 S 0.0629 0.2202 0.2052 1
S2 S 0.2098 0.2599 0.5993 1
S3 S 0.5704 0.4749 0.4740 1
S4 S 0.5721 0.0416 0.9509 1
S5 S 0.5863 0.2302 0.2057 1
S6 S 0.9402 0.2908 0.8328 1
```

***

(3)
# LiNb4S8
Theoretical X-ray diffraction stick pattern, Cu Kα, 1.54184 Å. Input: the GGA-PBE geometry in Alexandria.

Most intense lines, 10° ≤ 2θ ≤ 90°, in order of rising 2θ:
h k l  2θ (°)  I_rel
0 0 1  13.52  100
2 2 -1  30.51  17
4 0 -1  33.45  27
2 2 -2  33.54  50
4 0 0  41.26  29
2 2 -3  41.40  26
4 0 -4  41.47  9
2 2 2  52.17  15
0 4 0  54.23  20
0 0 4  56.18  15

Structural model:
```
data_LiNb4S8
_cell_length_a 11.7161
_cell_length_b 6.7673
_cell_length_c 8.7637
_cell_angle_alpha 90.00
_cell_angle_beta 131.63
_cell_angle_gamma 90.00
_symmetry_space_group_name_H-M 'C 1 2/m 1'
_symmetry_Int_Tables_number 12
_symmetry_space_group_name_Hall '-C 2y'
loop_
_atom_site_label
_atom_site_type_symbol
_atom_site_fract_x
_atom_site_fract_y
_atom_site_fract_z
_atom_site_occupancy
Li1 Li 0.0000 0.0000 0.0000 1
Nb1 Nb 0.0000 0.2541 0.5000 1
Nb2 Nb 0.2471 0.5000 0.4969 1
S1 S 0.0340 0.0000 0.7355 1
S2 S 0.0360 0.5000 0.7396 1
S3 S 0.2148 0.2500 0.2609 1
```

***

(4)
# Li7NbS6
Theoretical X-ray diffraction stick pattern, Cu Kα, 1.54184 Å. Input: the GGA-PBE geometry in Alexandria.

Most intense lines, 10° ≤ 2θ ≤ 90°, in order of rising 2θ:
h k l  2θ (°)  I_rel
1 1 1  15.08  97
2 0 0  17.43  35
2 2 0  24.75  100
3 1 1  29.11  37
2 2 2  30.43  50
3 3 1  38.57  35
4 0 2  39.61  17
4 2 2  43.58  43
4 4 0  50.76  39
5 3 1  53.26  26

Structural model:
```
data_Li7NbS6
_cell_length_a 10.1753
_cell_length_b 10.1753
_cell_length_c 10.1753
_cell_angle_alpha 90.00
_cell_angle_beta 90.00
_cell_angle_gamma 90.00
_symmetry_space_group_name_H-M 'P 21 3'
_symmetry_Int_Tables_number 198
_symmetry_space_group_name_Hall 'P 2ac 2ab 3'
loop_
_atom_site_label
_atom_site_type_symbol
_atom_site_fract_x
_atom_site_fract_y
_atom_site_fract_z
_atom_site_occupancy
Li1 Li 0.0113 0.2810 0.1878 1
Li2 Li 0.0210 0.8333 0.6782 1
Li3 Li 0.1134 0.6134 0.8866 1
Nb1 Nb 0.0094 0.4906 0.5094 1
S1 S 0.0273 0.9727 0.4727 1
S2 S 0.1130 0.1199 0.8535 1
S3 S 0.1384 0.3616 0.6384 1
S4 S 0.2460 0.2460 0.2460 1
```

***

(5)
# Li7NbS6
Theoretical X-ray diffraction stick pattern, Cu Kα, 1.54184 Å. Input: the GGA-PBE geometry in Alexandria.

Most intense lines, 10° ≤ 2θ ≤ 90°, in order of rising 2θ:
h k l  2θ (°)  I_rel
1 0 0  14.87  29
0 1 1  15.17  100
0 0 2  17.24  20
1 1 -1  17.55  32
1 1 1  24.53  48
2 0 -2  24.70  22
1 1 -3  24.87  46
0 2 0  25.15  23
0 2 2  30.62  48
2 2 -6  51.03  19

Structural model:
```
data_Li7NbS6
_cell_length_a 7.2106
_cell_length_b 7.0825
_cell_length_c 12.4475
_cell_angle_alpha 90.00
_cell_angle_beta 124.28
_cell_angle_gamma 90.00
_symmetry_space_group_name_H-M 'P 1 c 1'
_symmetry_Int_Tables_number 7
_symmetry_space_group_name_Hall 'P -2yc'
loop_
_atom_site_label
_atom_site_type_symbol
_atom_site_fract_x
_atom_site_fract_y
_atom_site_fract_z
_atom_site_occupancy
Li1 Li 0.0000 0.0368 0.0000 1
Li2 Li 0.2892 0.3723 0.7131 1
Li3 Li 0.5615 0.0637 0.3600 1
Li4 Li 0.5668 0.2786 0.5819 1
Li5 Li 0.7413 0.4220 0.9964 1
Li6 Li 0.9176 0.4447 0.3719 1
Li7 Li 0.9448 0.1056 0.7448 1
Nb1 Nb 0.4245 0.2365 0.0579 1
S1 S 0.2709 0.2638 0.1742 1
S2 S 0.2870 0.0335 0.4360 1
S3 S 0.3110 0.4853 0.9171 1
S4 S 0.6947 0.2428 0.8127 1
S5 S 0.8064 0.2363 0.1841 1
S6 S 0.8868 0.2569 0.5465 1
```

***

(6)
# Li5Nb7S14
Theoretical X-ray diffraction stick pattern, Cu Kα, 1.54184 Å. Input: the GGA-PBE geometry in Alexandria.

Most intense lines, 10° ≤ 2θ ≤ 90°, in order of rising 2θ:
h k l  2θ (°)  I_rel
0 0 2  13.64  100
0 2 0  30.57  20
7 1 -4  31.36  15
0 2 2  33.61  59
7 1 1  41.56  68
7 1 3  52.61  18
14 0 -6  54.35  23
14 0 -8  56.31  14
0 4 4  70.66  13
14 0 2  82.42  13

Structural model:
```
data_Li5Nb7S14
_cell_length_a 23.6308
_cell_length_b 5.8485
_cell_length_c 16.4732
_cell_angle_alpha 90.00
_cell_angle_beta 127.96
_cell_angle_gamma 90.00
_symmetry_space_group_name_H-M 'C 1 2/c 1'
_symmetry_Int_Tables_number 15
_symmetry_space_group_name_Hall '-C 2yc'
loop_
_atom_site_label
_atom_site_type_symbol
_atom_site_fract_x
_atom_site_fract_y
_atom_site_fract_z
_atom_site_occupancy
Li1 Li 0.0351 0.2488 0.9999 1
Li2 Li 0.1755 0.2498 0.0000 1
Li3 Li 0.2500 0.2500 0.5000 1
Nb1 Nb 0.0000 0.2500 0.2500 1
Nb2 Nb 0.0714 0.2515 0.7504 1
Nb3 Nb 0.1431 0.2517 0.2506 1
Nb4 Nb 0.2144 0.2509 0.7496 1
S1 S 0.0196 0.4160 0.1295 1
S2 S 0.0514 0.0821 0.8706 1
S3 S 0.0917 0.0836 0.6303 1
S4 S 0.1230 0.4158 0.3714 1
S5 S 0.1623 0.4177 0.1295 1
S6 S 0.1952 0.0840 0.8717 1
S7 S 0.2334 0.0834 0.6289 1
```

***

(7)
# LiNb2S4
Theoretical X-ray diffraction stick pattern, Cu Kα, 1.54184 Å. Input: the GGA-PBE geometry in Alexandria.

Most intense lines, 10° ≤ 2θ ≤ 90°, in order of rising 2θ:
h k l  2θ (°)  I_rel
1 1 1  14.94  100
3 1 1  28.82  45
4 0 0  34.94  78
3 3 1  38.19  20
5 1 1  45.90  31
4 4 0  50.24  50
5 3 1  52.71  13
4 4 4  62.65  14
5 5 1  64.81  13
8 4 0  84.32  15

Structural model:
```
data_LiNb2S4
_cell_length_a 10.2729
_cell_length_b 10.2729
_cell_length_c 10.2729
_cell_angle_alpha 90.00
_cell_angle_beta 90.00
_cell_angle_gamma 90.00
_symmetry_space_group_name_H-M 'F -4 3 m'
_symmetry_Int_Tables_number 216
_symmetry_space_group_name_Hall 'F -4 2 3'
loop_
_atom_site_label
_atom_site_type_symbol
_atom_site_fract_x
_atom_site_fract_y
_atom_site_fract_z
_atom_site_occupancy
Li1 Li 0.0000 0.0000 0.0000 1
Li2 Li 0.2500 0.2500 0.2500 1
Nb1 Nb 0.1393 0.1393 0.6393 1
S1 S 0.1136 0.1136 0.3864 1
S2 S 0.1244 0.1244 0.8756 1
```

***

(8)
# Li2Nb2Sb
Theoretical X-ray diffraction stick pattern, Cu Kα, 1.54184 Å. Input: the GGA-PBE geometry in Alexandria.

Most intense lines, 10° ≤ 2θ ≤ 90°, in order of rising 2θ:
h k l  2θ (°)  I_rel
0 0 2  12.15  100
1 0 3  30.21  17
1 1 0  33.97  37
1 1 2  36.20  35
1 0 5  39.23  45
2 0 0  48.80  15
1 0 7  50.20  21
2 0 2  50.49  11
2 1 5  64.33  20
2 1 7  72.62  14

Structural model:
```
data_Li2Nb2Sb
_cell_length_a 3.7321
_cell_length_b 3.7321
_cell_length_c 14.5639
_cell_angle_alpha 90.00
_cell_angle_beta 90.00
_cell_angle_gamma 90.00
_symmetry_space_group_name_H-M 'I 4/m m m'
_symmetry_Int_Tables_number 139
_symmetry_space_group_name_Hall '-I 4 2'
loop_
_atom_site_label
_atom_site_type_symbol
_atom_site_fract_x
_atom_site_fract_y
_atom_site_fract_z
_atom_site_occupancy
Li1 Li 0.0000 0.5000 0.2500 1
Nb1 Nb 0.0000 0.0000 0.0837 1
Sb1 Sb 0.0000 0.0000 0.5000 1
```

***

(9)
# LiNbSe4
Theoretical X-ray diffraction stick pattern, Cu Kα, 1.54184 Å. Input: the GGA-PBE geometry in Alexandria.

Most intense lines, 10° ≤ 2θ ≤ 90°, in order of rising 2θ:
h k l  2θ (°)  I_rel
1 0 0  13.78  69
0 1 1  19.07  100
2 0 0  27.77  60
0 2 1  30.35  78
2 1 0  30.97  56
1 1 -2  32.75  64
2 1 1  34.63  49
1 1 -3  44.98  43
3 0 -2  49.31  41
1 4 2  65.41  34

Structural model:
```
data_LiNbSe4
_cell_length_a 6.4381
_cell_length_b 6.5868
_cell_length_c 6.5923
_cell_angle_alpha 90.00
_cell_angle_beta 93.63
_cell_angle_gamma 90.00
_symmetry_space_group_name_H-M 'P 1 21/c 1'
_symmetry_Int_Tables_number 14
_symmetry_space_group_name_Hall '-P 2ybc'
loop_
_atom_site_label
_atom_site_type_symbol
_atom_site_fract_x
_atom_site_fract_y
_atom_site_fract_z
_atom_site_occupancy
Li1 Li 0.0000 0.0000 0.0000 1
Nb1 Nb 0.5000 0.0000 0.5000 1
Se1 Se 0.1082 0.1060 0.4021 1
Se2 Se 0.4335 0.6450 0.3456 1
```